[1]
The following is a theoretical XRD peak list of Cs2KCu3P2. It was derived from DFT lattice parameters and positions (GGA-PBE), using CuKα.
No peak broadening, texture or thermal motion is included.

Principal peaks in the range 10 to 80 degrees two-theta, low angle first:
- 2θ 13.17, 6.723 Å, I 24, (0 0 3)
- 2θ 16.98, 5.220 Å, I 19, (1 0 1)
- 2θ 24.14, 3.687 Å, I 19, (1 0 4)
- 2θ 27.59, 3.233 Å, I 100, (0 1 5)
- 2θ 28.61, 3.120 Å, I 50, (1 1 0)
- 2θ 33.46, 2.678 Å, I 55, (0 2 1)
- 2θ 34.36, 2.610 Å, I 30, (2 0 2)
- 2θ 39.40, 2.287 Å, I 50, (1 1 6)
- 2θ 50.05, 1.822 Å, I 37, (1 2 5)
- 2θ 59.23, 1.560 Å, I 22, (2 2 0)

Crystal structure
Unit cell a=6.2405 b=6.2405 c=20.1693 alpha=90.00 beta=90.00 gamma=120.00
Space group R-3m (No. 166, hexagonal axes)
Unique sites:
1 Cs 0.0000 0.0000 0.0926 x6
2 K 0.0000 0.0000 0.5000 x3
3 Cu 0.0000 0.5000 0.0000 x9
4 P 0.0000 0.0000 0.2670 x6


[2]
The following is a theoretical XRD peak list of Na2Zr. It was derived from DFT lattice parameters and positions (GGA-PBE), using CuKα.
No peak broadening, texture or thermal motion is included.

Principal peaks in the range 10 to 80 degrees two-theta, low angle first:
- 2θ 17.12, 5.179 Å, I 30, (1 0 0)
- 2θ 19.52, 4.547 Å, I 22, (1 0 1)
- 2θ 29.88, 2.990 Å, I 74, (1 1 0)
- 2θ 33.16, 2.702 Å, I 100, (1 0 3)
- 2θ 35.48, 2.530 Å, I 79, (1 1 2)
- 2θ 35.95, 2.498 Å, I 42, (2 0 1)
- 2θ 55.17, 1.665 Å, I 41, (2 1 3)
- 2θ 56.74, 1.622 Å, I 19, (3 0 2)
- 2θ 60.43, 1.532 Å, I 21, (2 0 5)
- 2θ 62.09, 1.495 Å, I 19, (2 2 0)

Crystal structure
Unit cell a=5.9798 b=5.9798 c=9.4998 alpha=90.00 beta=90.00 gamma=120.00
Space group P6_3/mmc (No. 194)
Unique sites:
1 Na 0.0000 0.0000 0.0000 x2
2 Na 0.1737 0.3475 0.2500 x6
3 Zr 0.3333 0.6667 0.5669 x4


[3]
The following is a theoretical XRD peak list of AgPd3Se. It was derived from DFT lattice parameters and positions (GGA-PBE), using CuKα.
No peak broadening, texture or thermal motion is included.

Principal peaks in the range 10 to 80 degrees two-theta, low angle first:
- 2θ 34.14, 2.626 Å, I 9, (3 1 1)
- 2θ 37.22, 2.416 Å, I 71, (3 0 2)
- 2θ 38.68, 2.328 Å, I 100, (3 2 1)
- 2θ 41.47, 2.177 Å, I 24, (4 0 0)
- 2θ 42.81, 2.112 Å, I 18, (4 1 0)
- 2θ 46.64, 1.947 Å, I 8, (4 0 2)
- 2θ 47.86, 1.901 Å, I 19, (4 2 1)
- 2θ 66.14, 1.413 Å, I 33, (5 3 2)
- 2θ 69.05, 1.360 Å, I 15, (6 2 1)
- 2θ 79.33, 1.208 Å, I 8, (6 0 4)

Crystal structure
Unit cell a=8.709 b=8.709 c=8.709 alpha=90.00 beta=90.00 gamma=90.00
Space group Pa-3 (No. 205)
Unique sites:
1 Ag 0.094 0.094 0.094 x8
2 Pd 0.086 0.722 0.138 x24
3 Se 0.122 0.622 0.878 x8


[4]
The following is a theoretical XRD peak list of GdInNO. It was derived from DFT lattice parameters and positions (GGA-PBE), using CuKα.
No peak broadening, texture or thermal motion is included.

Principal peaks in the range 10 to 80 degrees two-theta, low angle first:
- 2θ 24.06, 3.698 Å, I 6, (1 1 1)
- 2θ 30.44, 2.937 Å, I 100, (1 2 1)
- 2θ 30.89, 2.895 Å, I 21, (0 0 2)
- 2θ 43.24, 2.092 Å, I 8, (0 4 0)
- 2θ 43.93, 2.061 Å, I 16, (2 0 2)
- 2θ 53.80, 1.704 Å, I 8, (2 4 0)
- 2θ 54.09, 1.695 Å, I 21, (0 4 2)
- 2θ 54.65, 1.679 Å, I 17, (1 2 3)
- 2θ 63.34, 1.468 Å, I 9, (2 4 2)
- 2θ 71.39, 1.321 Å, I 6, (1 6 1)

Crystal structure
Unit cell a=5.871 b=8.369 c=5.790 alpha=90.00 beta=90.00 gamma=90.00
Space group Pca2_1 (No. 29)
Unique sites:
1 Gd 0.002 0.120 0.000 x4
2 In 0.057 0.606 0.976 x4
3 N 0.084 0.619 0.594 x4
4 O 0.248 0.999 0.247 x4


[5]
The following is a theoretical XRD peak list of Zn3As2O8. It was derived from DFT lattice parameters and positions (GGA-PBE), using CuKα.
No peak broadening, texture or thermal motion is included.

Principal peaks in the range 10 to 80 degrees two-theta, low angle first:
- 2θ 19.35, 4.587 Å, I 24, (1 0 0)
- 2θ 21.50, 4.133 Å, I 22, (1 0 -2)
- 2θ 22.04, 4.032 Å, I 44, (1 1 0)
- 2θ 25.64, 3.474 Å, I 100, (0 1 2)
- 2θ 27.01, 3.301 Å, I 25, (1 2 -1)
- 2θ 28.72, 3.109 Å, I 25, (1 2 0)
- 2θ 33.93, 2.642 Å, I 28, (2 0 -2)
- 2θ 34.70, 2.585 Å, I 34, (1 2 1)
- 2θ 36.12, 2.487 Å, I 50, (1 3 -1)
- 2θ 56.63, 1.625 Å, I 21, (3 2 -3)

Crystal structure
Unit cell a=5.317 b=8.455 c=8.833 alpha=90.00 beta=120.37 gamma=90.00
Space group P2_1/c (No. 14)
Unique sites:
1 Zn 0.000 0.000 0.000 x2
2 Zn 0.014 0.136 0.614 x4
3 As 0.364 0.694 0.312 x4
4 O 0.188 0.625 0.750 x4
5 O 0.221 0.565 0.138 x4
6 O 0.270 0.199 0.110 x4
7 O 0.296 0.637 0.474 x4


[6]
The following is a theoretical XRD peak list of Cu7Pd6. It was derived from DFT lattice parameters and positions (GGA-PBE), using CuKα.
No peak broadening, texture or thermal motion is included.

Principal peaks in the range 10 to 80 degrees two-theta, low angle first:
- 2θ 37.33, 2.409 Å, I 82, (1 1 0)
- 2θ 41.35, 2.184 Å, I 21, (0 0 8)
- 2θ 42.20, 2.142 Å, I 99, (1 0 7)
- 2θ 42.87, 2.109 Å, I 100, (1 1 4)
- 2θ 43.69, 2.072 Å, I 35, (2 0 1)
- 2θ 46.22, 1.964 Å, I 46, (2 0 3)
- 2θ 70.65, 1.333 Å, I 40, (2 1 7)
- 2θ 71.14, 1.325 Å, I 21, (3 0 4)
- 2θ 75.19, 1.264 Å, I 18, (2 0 11)
- 2θ 79.58, 1.205 Å, I 32, (2 2 0)

Crystal structure
Unit cell a=4.8184 b=4.8184 c=17.4681 alpha=90.00 beta=90.00 gamma=120.00
Space group P6_3/mmc (No. 194)
Unique sites:
1 Cu 0.0000 0.0000 0.0000 x2
2 Cu 0.1676 0.3353 0.1158 x12
3 Pd 0.0000 0.0000 0.2500 x2
4 Pd 0.3333 0.6667 0.2500 x2
5 Pd 0.3333 0.6667 0.5199 x4
6 Pd 0.3333 0.6667 0.6767 x4